# 1
This entry pairs a crystal structure of PmMg2AlAu2 with its calculated powder diffractogram. Radiation: Cu Ka. Structure: a cell relaxed with GGA-PBE.

Main lines, low angle first (2θ from 15° to 90°):
2θ/deg  I (rel.)
16.1  28
24.1  100
29.7  46
32.5  24
34.4  59
40.9  34
46.1  28
48.0  33
49.4  21
72.4  25

```
PmMg2AlAu2
1.0
-2.609 2.609 5.514
2.609 -2.609 5.514
2.609 2.609 -5.514
Pm Mg Al Au
1 2 1 2
direct
0.000 0.000 0.000
0.250 0.750 0.500
0.750 0.250 0.500
0.500 0.500 0.000
0.278 0.278 0.000
0.722 0.722 0.000
```



# 2
This entry pairs a crystal structure of TlAgGe with its calculated powder diffractogram. Radiation: Cu Ka. Structure: a cell relaxed with GGA-PBE.

Main lines, low angle first (2θ from 15° to 90°):
2θ/deg  I (rel.)
21.9  17
33.1  49
33.7  100
37.2  65
39.0  29
50.2  17
52.0  40
64.1  14
65.3  16
65.7  24

```
TlAgGe
1.0
2.308 -4.248 0.000
2.308 4.248 0.000
0.000 0.000 7.031
Tl Ag Ge
2 2 2
direct
0.000 0.000 0.000
0.000 0.000 0.500
0.336 0.664 0.750
0.664 0.336 0.250
0.338 0.662 0.250
0.662 0.338 0.750
```



# 3
This entry pairs a crystal structure of KUReO6 with its calculated powder diffractogram. Radiation: Cu Ka. Structure: a cell relaxed with GGA-PBE.

Main lines, low angle first (2θ from 15° to 90°):
2θ/deg  I (rel.)
27.0  93
27.5  36
27.8  34
28.0  59
28.1  98
29.4  100
33.3  37
36.1  28
48.0  62
55.6  35

```
KUReO6
1.0
-3.685 3.939 5.346
3.685 -3.939 5.346
3.685 3.939 -5.346
K U Re O
2 2 2 12
direct
0.334 0.084 0.250
0.666 0.916 0.750
0.000 0.500 0.500
0.500 0.500 0.000
0.000 0.000 0.500
0.000 0.500 0.000
0.039 0.789 0.250
0.048 0.415 0.217
0.048 0.831 0.634
0.303 0.169 0.717
0.303 0.585 0.134
0.325 0.575 0.750
0.675 0.425 0.250
0.697 0.415 0.866
0.697 0.831 0.283
0.952 0.169 0.366
0.952 0.585 0.783
0.961 0.211 0.750
```



# 4
This entry pairs a crystal structure of Zr6As2H with its calculated powder diffractogram. Radiation: Cu Ka. Structure: a cell relaxed with GGA-PBE.

Main lines, low angle first (2θ from 15° to 90°):
2θ/deg  I (rel.)
32.1  24
33.1  100
34.4  36
36.0  81
36.9  55
37.4  24
40.3  35
40.5  36
41.7  36
42.3  37

```
Zr6As2H
1.0
5.625 0.000 0.000
0.000 6.924 0.000
-5.586 0.000 8.662
Zr As H
12 4 2
direct
0.091 0.194 0.460
0.091 0.306 0.960
0.326 0.692 0.459
0.326 0.808 0.959
0.374 0.025 0.255
0.374 0.475 0.755
0.626 0.525 0.245
0.626 0.975 0.745
0.674 0.192 0.041
0.674 0.308 0.541
0.909 0.694 0.040
0.909 0.806 0.540
0.157 0.105 0.750
0.157 0.395 0.250
0.843 0.605 0.750
0.843 0.895 0.250
0.000 0.000 0.000
0.000 0.500 0.500
```